Diffraction record for MgZn9Cu3. The powder diffractogram is simulated, not measured: it uses DFT lattice parameters and positions (PBE) and Cu Kα, 1.54184 Å.
Peak positions follow from Bragg's law for the DFT cell and can differ from measured ones.

Atomic structure:
Unit cell a=6.6393 b=6.6393 c=6.6244 alpha=97.62 beta=97.62 gamma=135.36
Element x y z (fractional)
Mg (0.0000, 0.0000, 0.0000)
Zn (0.0221, 0.6693, 0.6571)
Zn (0.2809, 0.4989, 0.7859)
Zn (0.3307, 0.9779, 0.3429)
Zn (0.4989, 0.2809, 0.7859)
Zn (0.5000, 0.5000, 0.5000)
Zn (0.5011, 0.7191, 0.2141)
Zn (0.6693, 0.0221, 0.6571)
Zn (0.7191, 0.5011, 0.2141)
Zn (0.9779, 0.3307, 0.3429)
Cu (0.0000, 0.0000, 0.5000)
Cu (0.0000, 0.5000, 0.0000)
Cu (0.5000, 0.0000, 0.0000)

Most intense lines, 2θ = 10–90°, low angle first:
2θ/deg  I (rel.)
20.34  30
35.24  22
40.63  22
40.92  32
41.38  100
41.69  47
41.81  42
45.59  38
46.30  48
46.66  83
46.92  27
47.22  23